(1)
This entry pairs a crystal structure of PmAlSiO5 with its calculated powder XRD pattern. Radiation: λ = 1.5418 Å (Cu Kα). Structure: a PBE-relaxed structure.

Most intense lines, 15° ≤ 2θ ≤ 90°, low angle first:
19.04 deg, intensity 100
24.76 deg, intensity 44
28.33 deg, intensity 45
28.61 deg, intensity 59
29.21 deg, intensity 89
32.54 deg, intensity 43
34.03 deg, intensity 92
41.07 deg, intensity 43
42.62 deg, intensity 56
54.97 deg, intensity 57

Structural model:
abc: 5.473 5.473 6.766
angles: 102.64 102.64 106.27
Element x y z (fractional)
Pm  0.172  0.828  0.750
Pm  0.828  0.172  0.250
Al  0.500  0.500  0.000
Al  0.500  0.500  0.500
Si  0.182  0.818  0.250
Si  0.818  0.182  0.750
O  0.112  0.248  0.920
O  0.187  0.605  0.389
O  0.248  0.112  0.420
O  0.395  0.813  0.111
O  0.431  0.569  0.750
O  0.569  0.431  0.250
O  0.605  0.187  0.889
O  0.752  0.888  0.580
O  0.813  0.395  0.611
O  0.888  0.752  0.080


(2)
This entry pairs a crystal structure of PmAl2TeO8 with its calculated powder XRD pattern. Radiation: λ = 1.5418 Å (Cu Kα). Structure: a PBE-relaxed structure.

Most intense lines, 15° ≤ 2θ ≤ 90°, low angle first:
19.50 deg, intensity 100
26.92 deg, intensity 28
27.32 deg, intensity 69
28.11 deg, intensity 57
33.46 deg, intensity 98
39.32 deg, intensity 46
43.99 deg, intensity 25
52.33 deg, intensity 46
53.25 deg, intensity 38
67.97 deg, intensity 26

Structural model:
abc: 4.553 4.553 6.624
angles: 90.00 90.00 91.61
Element x y z (fractional)
Pm  0.000  0.000  0.000
Al  0.500  0.500  0.273
Al  0.500  0.500  0.727
Te  0.000  0.000  0.500
O  0.207  0.207  0.285
O  0.207  0.207  0.715
O  0.302  0.698  0.500
O  0.345  0.655  0.000
O  0.655  0.345  0.000
O  0.698  0.302  0.500
O  0.793  0.793  0.285
O  0.793  0.793  0.715


(3)
This entry pairs a crystal structure of Pr3AlO5 with its calculated powder XRD pattern. Radiation: λ = 1.5418 Å (Cu Kα). Structure: a PBE-relaxed structure.

Most intense lines, 15° ≤ 2θ ≤ 90°, low angle first:
24.35 deg, intensity 51
30.12 deg, intensity 57
31.14 deg, intensity 100
31.40 deg, intensity 75
38.18 deg, intensity 91
38.81 deg, intensity 23
43.61 deg, intensity 42
49.38 deg, intensity 25
53.91 deg, intensity 30
54.14 deg, intensity 25

Structural model:
abc: 7.533 7.533 7.533
angles: 128.35 128.35 76.06
Element x y z (fractional)
Pr  0.169  0.669  0.839
Pr  0.250  0.250  0.000
Pr  0.331  0.169  0.500
Pr  0.669  0.831  0.500
Pr  0.750  0.750  0.000
Pr  0.831  0.331  0.161
Al  0.250  0.750  0.500
Al  0.750  0.250  0.500
O  0.000  0.000  0.000
O  0.008  0.809  0.500
O  0.191  0.691  0.199
O  0.309  0.508  0.500
O  0.492  0.992  0.801
O  0.500  0.500  0.000
O  0.508  0.008  0.199
O  0.691  0.492  0.500
O  0.809  0.309  0.801
O  0.992  0.191  0.500


(4)
This entry pairs a crystal structure of Pr4Al3O10 with its calculated powder XRD pattern. Radiation: λ = 1.5418 Å (Cu Kα). Structure: a PBE-relaxed structure.

Most intense lines, 15° ≤ 2θ ≤ 90°, low angle first:
23.80 deg, intensity 44
25.61 deg, intensity 22
32.73 deg, intensity 100
33.59 deg, intensity 61
42.72 deg, intensity 48
48.24 deg, intensity 37
55.18 deg, intensity 16
57.86 deg, intensity 14
59.52 deg, intensity 38
68.59 deg, intensity 14

Structural model:
abc: 14.164 14.164 14.164
angles: 164.69 164.69 21.71
Element x y z (fractional)
Pr  0.067  0.067  0.000
Pr  0.202  0.202  0.000
Pr  0.798  0.798  0.000
Pr  0.933  0.933  0.000
Al  0.363  0.363  0.000
Al  0.500  0.500  0.000
Al  0.637  0.637  0.000
O  0.000  0.500  0.500
O  0.139  0.639  0.500
O  0.288  0.288  0.000
O  0.361  0.861  0.500
O  0.431  0.431  0.000
O  0.500  0.000  0.500
O  0.569  0.569  0.000
O  0.639  0.139  0.500
O  0.712  0.712  0.000
O  0.861  0.361  0.500


(5)
This entry pairs a crystal structure of SrPrAl3O7 with its calculated powder XRD pattern. Radiation: λ = 1.5418 Å (Cu Kα). Structure: a PBE-relaxed structure.

Most intense lines, 15° ≤ 2θ ≤ 90°, low angle first:
16.89 deg, intensity 16
23.20 deg, intensity 19
25.09 deg, intensity 17
28.19 deg, intensity 22
30.40 deg, intensity 100
35.78 deg, intensity 16
42.84 deg, intensity 24
50.29 deg, intensity 19
58.83 deg, intensity 15
65.82 deg, intensity 15

Structural model:
abc: 7.937 7.937 5.251
angles: 90.00 90.00 90.05
Element x y z (fractional)
Sr  0.161  0.161  0.000
Sr  0.839  0.839  0.000
Pr  0.338  0.662  0.023
Pr  0.662  0.338  0.023
Al  0.000  0.500  0.509
Al  0.145  0.855  0.473
Al  0.358  0.358  0.549
Al  0.500  0.000  0.509
Al  0.642  0.642  0.549
Al  0.855  0.145  0.473
O  0.000  0.000  0.348
O  0.092  0.661  0.317
O  0.152  0.848  0.804
O  0.166  0.417  0.697
O  0.339  0.908  0.317
O  0.368  0.368  0.215
O  0.417  0.166  0.697
O  0.500  0.500  0.700
O  0.583  0.834  0.697
O  0.632  0.632  0.215
O  0.661  0.092  0.317
O  0.834  0.583  0.697
O  0.848  0.152  0.804
O  0.908  0.339  0.317


(6)
This entry pairs a crystal structure of PrAl2TcO8 with its calculated powder XRD pattern. Radiation: λ = 1.5418 Å (Cu Kα). Structure: a PBE-relaxed structure.

Most intense lines, 15° ≤ 2θ ≤ 90°, low angle first:
19.09 deg, intensity 97
26.58 deg, intensity 75
27.67 deg, intensity 61
27.80 deg, intensity 25
33.95 deg, intensity 100
39.63 deg, intensity 45
42.81 deg, intensity 26
51.82 deg, intensity 50
53.07 deg, intensity 39
67.08 deg, intensity 28

Structural model:
abc: 4.650 6.418 4.654
angles: 90.00 92.26 90.00
Element x y z (fractional)
Pr  0.000  0.000  0.000
Al  0.500  0.251  0.500
Al  0.500  0.749  0.500
Tc  0.000  0.500  0.000
O  0.213  0.296  0.212
O  0.213  0.704  0.212
O  0.294  0.500  0.705
O  0.334  0.000  0.663
O  0.666  0.000  0.337
O  0.706  0.500  0.295
O  0.787  0.296  0.788
O  0.787  0.704  0.788


(7)
This entry pairs a crystal structure of Sr2AlPtO6 with its calculated powder XRD pattern. Radiation: λ = 1.5418 Å (Cu Kα). Structure: a PBE-relaxed structure.

Most intense lines, 15° ≤ 2θ ≤ 90°, low angle first:
18.63 deg, intensity 46
18.88 deg, intensity 27
22.30 deg, intensity 24
28.85 deg, intensity 67
32.08 deg, intensity 100
36.90 deg, intensity 23
37.49 deg, intensity 32
43.68 deg, intensity 41
55.22 deg, intensity 21
67.10 deg, intensity 20

Structural model:
abc: 9.937 9.937 9.937
angles: 32.61 32.61 32.61
Element x y z (fractional)
Sr  0.126  0.126  0.126
Sr  0.285  0.285  0.285
Sr  0.715  0.715  0.715
Sr  0.874  0.874  0.874
Al  0.000  0.000  0.000
Al  0.500  0.500  0.500
Pt  0.410  0.410  0.410
Pt  0.590  0.590  0.590
O  0.145  0.613  0.613
O  0.198  0.198  0.719
O  0.198  0.719  0.198
O  0.281  0.802  0.802
O  0.387  0.387  0.855
O  0.387  0.855  0.387
O  0.613  0.145  0.613
O  0.613  0.613  0.145
O  0.719  0.198  0.198
O  0.802  0.281  0.802
O  0.802  0.802  0.281
O  0.855  0.387  0.387


(8)
This entry pairs a crystal structure of SrPu2AlO8 with its calculated powder XRD pattern. Radiation: λ = 1.5418 Å (Cu Kα). Structure: a PBE-relaxed structure.

Most intense lines, 15° ≤ 2θ ≤ 90°, low angle first:
18.15 deg, intensity 85
24.85 deg, intensity 60
26.69 deg, intensity 49
31.77 deg, intensity 100
36.16 deg, intensity 25
36.79 deg, intensity 28
45.51 deg, intensity 16
48.32 deg, intensity 42
50.43 deg, intensity 35
63.13 deg, intensity 22

Structural model:
abc: 4.899 4.899 6.894
angles: 90.00 90.00 94.03
Element x y z (fractional)
Sr  0.000  0.000  0.000
Pu  0.500  0.500  0.263
Pu  0.500  0.500  0.737
Al  0.000  0.000  0.500
O  0.198  0.198  0.298
O  0.198  0.198  0.702
O  0.298  0.702  0.500
O  0.332  0.668  0.000
O  0.668  0.332  0.000
O  0.702  0.298  0.500
O  0.802  0.802  0.298
O  0.802  0.802  0.702


(9)
This entry pairs a crystal structure of SrPuAl2O8 with its calculated powder XRD pattern. Radiation: λ = 1.5418 Å (Cu Kα). Structure: a PBE-relaxed structure.

Most intense lines, 15° ≤ 2θ ≤ 90°, low angle first:
17.75 deg, intensity 30
18.69 deg, intensity 100
25.21 deg, intensity 84
31.56 deg, intensity 37
33.20 deg, intensity 60
35.95 deg, intensity 17
40.81 deg, intensity 24
44.27 deg, intensity 17
48.58 deg, intensity 21
49.74 deg, intensity 53

Structural model:
abc: 5.937 5.937 5.937
angles: 106.96 106.96 114.63
Element x y z (fractional)
Sr  0.000  0.000  0.000
Pu  0.750  0.250  0.500
Al  0.250  0.750  0.500
Al  0.500  0.500  0.000
O  0.047  0.380  0.333
O  0.047  0.714  0.667
O  0.128  0.333  0.795
O  0.286  0.953  0.333
O  0.538  0.333  0.205
O  0.620  0.953  0.667
O  0.667  0.462  0.795
O  0.667  0.872  0.205


(10)
This entry pairs a crystal structure of Rb5Al2O6 with its calculated powder XRD pattern. Radiation: λ = 1.5418 Å (Cu Kα). Structure: a PBE-relaxed structure.

Most intense lines, 15° ≤ 2θ ≤ 90°, low angle first:
24.47 deg, intensity 51
27.74 deg, intensity 42
28.25 deg, intensity 100
28.59 deg, intensity 34
29.34 deg, intensity 75
30.93 deg, intensity 69
31.50 deg, intensity 41
31.87 deg, intensity 44
46.07 deg, intensity 38
49.81 deg, intensity 33

Structural model:
abc: 6.531 6.531 14.771
angles: 98.31 98.31 64.94
Element x y z (fractional)
Rb  0.093  0.907  0.750
Rb  0.173  0.699  0.005
Rb  0.297  0.399  0.291
Rb  0.301  0.827  0.495
Rb  0.399  0.297  0.791
Rb  0.601  0.703  0.209
Rb  0.699  0.173  0.505
Rb  0.703  0.601  0.709
Rb  0.827  0.301  0.995
Rb  0.907  0.093  0.250
Al  0.126  0.420  0.573
Al  0.420  0.126  0.073
Al  0.580  0.874  0.927
Al  0.874  0.580  0.427
O  0.092  0.230  0.637
O  0.139  0.328  0.450
O  0.230  0.092  0.137
O  0.328  0.139  0.950
O  0.347  0.496  0.624
O  0.496  0.347  0.124
O  0.504  0.653  0.876
O  0.653  0.504  0.376
O  0.672  0.861  0.050
O  0.770  0.908  0.863
O  0.861  0.672  0.550
O  0.908  0.770  0.363